(1)
Theoretical X-ray diffraction stick pattern
Compound: AcPr2Hg3
Radiation: Cu Kα, 1.54184 Å
Structure: a DFT-relaxed cell (PBE, Alexandria)
No peak broadening, texture or thermal motion is included.

Atomic structure:
```
AcPr2Hg3
1.0
2.766 -8.321 0.000
2.766 8.321 0.000
0.000 0.000 7.894
Ac Pr Hg
2 4 6
Direct
0.165 0.835 0.000
0.835 0.165 0.000
0.168 0.832 0.500
0.500 0.500 0.000
0.500 0.500 0.500
0.832 0.168 0.500
0.000 0.000 0.262
0.000 0.000 0.738
0.337 0.663 0.262
0.337 0.663 0.738
0.663 0.337 0.262
0.663 0.337 0.738
```

Main lines, by intensity (2θ from 10° to 90°):
32.21 deg, intensity 100.0; 32.37 deg, intensity 20.0; 57.62 deg, intensity 15.6; 57.50 deg, intensity 15.5; 57.33 deg, intensity 15.2; 46.36 deg, intensity 14.9; 76.91 deg, intensity 10.1; 67.36 deg, intensity 9.4; 45.99 deg, intensity 7.3; 76.36 deg, intensity 6.2

=====

(2)
Theoretical X-ray diffraction stick pattern
Compound: Ac4Pr5Hg
Radiation: Cu Kα, 1.54184 Å
Structure: a DFT-relaxed cell (PBE, Alexandria)
No peak broadening, texture or thermal motion is included.

Atomic structure:
```
Ac4Pr5Hg
1.0
3.870 0.000 0.000
0.000 3.870 0.000
0.000 0.000 25.192
Ac Pr Hg
4 5 1
Direct
0.000 0.000 0.106
0.000 0.000 0.318
0.000 0.000 0.682
0.000 0.000 0.894
0.500 0.500 0.000
0.500 0.500 0.212
0.500 0.500 0.423
0.500 0.500 0.577
0.500 0.500 0.788
0.000 0.000 0.500
```

Main lines, by intensity (2θ from 10° to 90°):
29.09 deg, intensity 100.0; 32.72 deg, intensity 45.1; 56.19 deg, intensity 32.3; 46.95 deg, intensity 17.0; 49.16 deg, intensity 12.6; 56.39 deg, intensity 10.8; 46.40 deg, intensity 10.6; 27.04 deg, intensity 9.7; 76.35 deg, intensity 9.7; 35.64 deg, intensity 7.7

=====

(3)
Theoretical X-ray diffraction stick pattern
Compound: Ac2Pr2Hg3
Radiation: Cu Kα, 1.54184 Å
Structure: a DFT-relaxed cell (PBE, Alexandria)
No peak broadening, texture or thermal motion is included.

Atomic structure:
```
Ac2Pr2Hg3
1.0
5.609 0.000 0.000
2.804 4.859 0.000
2.753 1.629 8.760
Ac Pr Hg
2 2 3
Direct
0.120 0.118 0.145
0.880 0.882 0.855
0.375 0.372 0.382
0.625 0.628 0.618
0.250 0.253 0.742
0.500 0.500 0.000
0.750 0.747 0.258
```

Main lines, by intensity (2θ from 10° to 90°):
31.91 deg, intensity 100.0; 32.87 deg, intensity 59.2; 33.00 deg, intensity 29.1; 46.56 deg, intensity 22.7; 56.85 deg, intensity 19.9; 57.39 deg, intensity 18.6; 10.10 deg, intensity 14.5; 66.69 deg, intensity 12.4; 57.57 deg, intensity 12.1; 24.92 deg, intensity 11.8

=====

(4)
Theoretical X-ray diffraction stick pattern
Compound: Ac8HgPt4
Radiation: Cu Kα, 1.54184 Å
Structure: a DFT-relaxed cell (PBE, Alexandria)
No peak broadening, texture or thermal motion is included.

Atomic structure:
```
Ac8HgPt4
1.0
9.771 -2.221 0.000
9.771 2.221 0.000
-9.265 0.000 10.537
Ac Hg Pt
8 1 4
Direct
0.000 0.000 0.000
0.003 0.003 0.565
0.076 0.076 0.350
0.284 0.284 0.864
0.357 0.357 0.648
0.360 0.360 0.213
0.642 0.642 0.918
0.718 0.718 0.295
0.680 0.680 0.606
0.002 0.002 0.781
0.358 0.358 0.432
0.503 0.503 0.153
0.858 0.858 0.060
```

Main lines, by intensity (2θ from 10° to 90°):
27.11 deg, intensity 100.0; 27.73 deg, intensity 67.4; 31.90 deg, intensity 61.8; 40.61 deg, intensity 53.6; 33.54 deg, intensity 49.0; 38.54 deg, intensity 38.5; 28.32 deg, intensity 37.2; 29.73 deg, intensity 32.2; 36.53 deg, intensity 30.4; 47.01 deg, intensity 28.9

=====

(5)
Theoretical X-ray diffraction stick pattern
Compound: Ac3Hg4Pt4
Radiation: Cu Kα, 1.54184 Å
Structure: a DFT-relaxed cell (PBE, Alexandria)
No peak broadening, texture or thermal motion is included.

Atomic structure:
```
Ac3Hg4Pt4
1.0
-2.164 4.131 7.713
2.164 -4.131 7.713
2.164 4.131 -7.713
Ac Hg Pt
3 4 4
Direct
0.000 0.000 0.000
0.374 0.874 0.500
0.626 0.126 0.500
0.026 0.331 0.695
0.365 0.669 0.695
0.635 0.331 0.305
0.974 0.669 0.305
0.223 0.223 0.000
0.316 0.500 0.816
0.684 0.500 0.184
0.777 0.777 0.000
```

Main lines, by intensity (2θ from 10° to 90°):
30.47 deg, intensity 100.0; 32.94 deg, intensity 92.1; 37.03 deg, intensity 43.7; 41.74 deg, intensity 40.1; 40.55 deg, intensity 25.7; 57.01 deg, intensity 25.7; 65.08 deg, intensity 24.1; 30.94 deg, intensity 23.7; 34.72 deg, intensity 22.3; 42.10 deg, intensity 21.3

=====

(6)
Theoretical X-ray diffraction stick pattern
Compound: Ac2HgPt
Radiation: Cu Kα, 1.54184 Å
Structure: a DFT-relaxed cell (PBE, Alexandria)
No peak broadening, texture or thermal motion is included.

Atomic structure:
```
Ac2HgPt
1.0
4.483 0.000 0.000
-2.242 3.883 0.000
0.000 0.000 7.963
Ac Hg Pt
2 1 1
Direct
0.333 0.667 0.206
0.667 0.333 0.794
0.000 0.000 0.500
0.000 0.000 0.000
```

Main lines, by intensity (2θ from 10° to 90°):
32.20 deg, intensity 100.0; 25.52 deg, intensity 66.4; 40.23 deg, intensity 50.9; 52.44 deg, intensity 26.0; 68.10 deg, intensity 24.1; 51.60 deg, intensity 14.8; 62.39 deg, intensity 14.2; 48.25 deg, intensity 12.3; 41.20 deg, intensity 12.3; 64.58 deg, intensity 10.5

=====

(7)
Theoretical X-ray diffraction stick pattern
Compound: Ac6Hg2Pt
Radiation: Cu Kα, 1.54184 Å
Structure: a DFT-relaxed cell (PBE, Alexandria)
No peak broadening, texture or thermal motion is included.

Atomic structure:
```
Ac6Hg2Pt
1.0
7.345 0.000 0.000
0.000 8.322 0.000
-6.493 0.000 11.346
Ac Hg Pt
12 4 2
Direct
0.116 0.033 0.256
0.116 0.467 0.756
0.220 0.674 0.061
0.220 0.826 0.561
0.382 0.200 0.058
0.382 0.300 0.558
0.618 0.700 0.442
0.618 0.800 0.942
0.780 0.174 0.439
0.780 0.326 0.939
0.884 0.533 0.244
0.884 0.967 0.744
0.334 0.106 0.772
0.334 0.394 0.272
0.666 0.606 0.728
0.666 0.894 0.228
0.000 0.000 0.000
0.000 0.500 0.500
```

Main lines, by intensity (2θ from 10° to 90°):
26.58 deg, intensity 100.0; 27.22 deg, intensity 97.3; 27.34 deg, intensity 80.9; 28.77 deg, intensity 59.3; 34.57 deg, intensity 55.7; 31.96 deg, intensity 52.3; 25.57 deg, intensity 51.7; 30.02 deg, intensity 42.2; 46.79 deg, intensity 41.8; 29.41 deg, intensity 40.0

=====

(8)
Theoretical X-ray diffraction stick pattern
Compound: Ac4HgPtSe2
Radiation: Cu Kα, 1.54184 Å
Structure: a DFT-relaxed cell (PBE, Alexandria)
No peak broadening, texture or thermal motion is included.

Atomic structure:
```
Ac4HgPtSe2
1.0
7.720 0.000 0.000
0.000 4.437 0.000
-2.541 0.000 7.828
Ac Hg Pt Se
4 1 1 2
Direct
0.235 0.000 0.236
0.237 0.500 0.753
0.763 0.500 0.247
0.765 0.000 0.764
0.500 0.000 0.000
0.000 0.500 0.000
0.000 0.000 0.500
0.500 0.500 0.500
```

Main lines, by intensity (2θ from 10° to 90°):
27.70 deg, intensity 100.0; 38.62 deg, intensity 27.9; 40.52 deg, intensity 24.0; 38.45 deg, intensity 13.7; 49.92 deg, intensity 13.6; 63.38 deg, intensity 13.3; 57.21 deg, intensity 13.2; 40.67 deg, intensity 12.3; 11.30 deg, intensity 9.2; 72.60 deg, intensity 8.9

=====

(9)
Theoretical X-ray diffraction stick pattern
Compound: AcPu2Sn2Hg2
Radiation: Cu Kα, 1.54184 Å
Structure: a DFT-relaxed cell (PBE, Alexandria)
No peak broadening, texture or thermal motion is included.

Atomic structure:
```
AcPu2Sn2Hg2
1.0
2.517 1.453 9.098
-2.517 1.453 9.098
0.000 -2.907 9.098
Ac Pu Sn Hg
1 2 2 2
Direct
0.000 0.000 0.000
0.145 0.145 0.145
0.855 0.855 0.855
0.263 0.263 0.263
0.737 0.737 0.737
0.435 0.435 0.435
0.565 0.565 0.565
```

Main lines, by intensity (2θ from 10° to 90°):
30.76 deg, intensity 100.0; 35.67 deg, intensity 83.2; 47.80 deg, intensity 30.4; 61.04 deg, intensity 29.7; 64.07 deg, intensity 23.4; 75.54 deg, intensity 19.5; 83.75 deg, intensity 17.1; 51.34 deg, intensity 14.6; 38.93 deg, intensity 14.1; 37.05 deg, intensity 6.7

=====

(10)
Theoretical X-ray diffraction stick pattern
Compound: RbAcHg
Radiation: Cu Kα, 1.54184 Å
Structure: a DFT-relaxed cell (PBE, Alexandria)
No peak broadening, texture or thermal motion is included.

Atomic structure:
```
RbAcHg
1.0
-2.101 2.101 8.015
2.101 -2.101 8.015
2.101 2.101 -8.015
Rb Ac Hg
1 1 1
Direct
0.000 0.000 0.000
0.262 0.262 0.000
0.670 0.670 0.000
```

Main lines, by intensity (2θ from 10° to 90°):
27.00 deg, intensity 100.0; 11.04 deg, intensity 89.3; 30.08 deg, intensity 63.7; 35.21 deg, intensity 48.6; 51.56 deg, intensity 34.5; 32.13 deg, intensity 31.4; 45.09 deg, intensity 25.9; 56.79 deg, intensity 25.4; 43.06 deg, intensity 24.3; 64.11 deg, intensity 18.5

=====

(11)
Theoretical X-ray diffraction stick pattern
Compound: RbAcHg2Se4
Radiation: Cu Kα, 1.54184 Å
Structure: a DFT-relaxed cell (PBE, Alexandria)
No peak broadening, texture or thermal motion is included.

Atomic structure:
```
RbAcHg2Se4
1.0
-3.748 4.198 4.472
3.748 -4.198 4.472
3.748 4.198 -4.472
Rb Ac Hg Se
1 1 2 4
Direct
0.000 0.000 0.000
0.500 0.500 0.000
0.309 0.809 0.500
0.691 0.191 0.500
0.105 0.052 0.560
0.492 0.546 0.440
0.508 0.948 0.054
0.895 0.454 0.946
```

Main lines, by intensity (2θ from 10° to 90°):
25.51 deg, intensity 100.0; 32.01 deg, intensity 64.9; 14.47 deg, intensity 44.6; 39.85 deg, intensity 30.2; 42.84 deg, intensity 26.1; 38.95 deg, intensity 22.4; 21.16 deg, intensity 21.0; 66.91 deg, intensity 19.7; 32.32 deg, intensity 16.6; 53.24 deg, intensity 12.4

=====

(12)
Theoretical X-ray diffraction stick pattern
Compound: Ac8HgRh4
Radiation: Cu Kα, 1.54184 Å
Structure: a DFT-relaxed cell (PBE, Alexandria)
No peak broadening, texture or thermal motion is included.

Atomic structure:
```
Ac8HgRh4
1.0
9.732 -2.168 0.000
9.732 2.168 0.000
-9.229 0.000 10.444
Ac Hg Rh
8 1 4
Direct
0.000 0.000 0.000
0.002 0.002 0.435
0.067 0.067 0.772
0.289 0.289 0.308
0.354 0.354 0.645
0.356 0.356 0.080
0.636 0.636 0.348
0.720 0.720 0.732
0.678 0.678 0.040
0.001 0.001 0.216
0.355 0.355 0.864
0.503 0.503 0.585
0.852 0.852 0.494
```

Main lines, by intensity (2θ from 10° to 90°):
27.56 deg, intensity 100.0; 28.19 deg, intensity 68.5; 25.61 deg, intensity 36.5; 32.37 deg, intensity 35.7; 41.66 deg, intensity 33.5; 28.45 deg, intensity 33.2; 37.02 deg, intensity 29.1; 51.21 deg, intensity 28.4; 47.41 deg, intensity 24.5; 33.96 deg, intensity 24.0